Ge3F8: calculated X-ray powder pattern (Cu Kα (λ = 1.5418 Å)), based on the PBE geometry in Alexandria.
Intensities are scaled so that the largest is 100.

The 6 most intense peaks (10° ≤ 2θ ≤ 90°), in order of rising 2θ:
| index | 2theta | Rel. int. |
| --- | --- | --- |
| 1 0 -2 | 18.72 | 34 |
| 1 1 -1 | 23.69 | 100 |
| 1 1 -2 | 25.18 | 36 |
| 1 0 2 | 27.78 | 56 |
| 0 1 3 | 28.49 | 47 |
| 1 0 -4 | 29.20 | 35 |

Structural model:
a = 5.3165 Å, b = 5.3116 Å, c = 12.5570 Å
α = 90.00°, β = 112.05°, γ = 90.00°
Space group P2_1/c (No. 14)
One atom of each set of equivalent atoms:
Ge (0.0000, 0.0000, 0.0000)
Ge (0.3869, 0.1205, 0.3310)
F (0.0241, 0.0599, 0.1476)
F (0.2277, 0.7164, 0.0522)
F (0.2920, 0.1935, 0.0213)
F (0.4104, 0.0612, 0.7535)

=====

Ge7F16: calculated X-ray powder pattern (Cu Kα (λ = 1.5418 Å)), based on the PBE geometry in Alexandria.
Intensities are scaled so that the largest is 100.

The 6 most intense peaks (10° ≤ 2θ ≤ 90°), in order of rising 2θ:
| index | 2theta | Rel. int. |
| --- | --- | --- |
| 3 1 1 | 20.43 | 20 |
| 2 2 0 | 24.95 | 21 |
| 4 0 -2 | 25.40 | 100 |
| 2 2 -1 | 26.32 | 41 |
| 5 1 1 | 28.21 | 18 |
| 1 1 3 | 28.70 | 18 |

Structural model:
a = 18.5529 Å, b = 7.7326 Å, c = 10.4203 Å
α = 90.00°, β = 91.47°, γ = 90.00°
Space group Cc (No. 9)
One atom of each set of equivalent atoms:
Ge (0.0000, 0.0504, 0.0000)
Ge (0.0681, 0.4399, 0.6135)
Ge (0.1446, 0.0964, 0.2733)
Ge (0.2069, 0.3399, 0.9148)
Ge (0.2767, 0.1907, 0.5769)
Ge (0.3637, 0.3667, 0.2074)
Ge (0.4229, 0.0723, 0.8336)
F (0.9997, 0.4941, 0.4647)
F (0.0030, 0.3960, 0.2147)
F (0.0540, 0.1236, 0.4191)
F (0.0667, 0.0073, 0.1603)
F (0.1192, 0.3572, 0.0618)
F (0.1462, 0.1374, 0.8535)
F (0.1520, 0.4797, 0.8086)
F (0.1976, 0.3187, 0.5343)
F (0.2159, 0.0085, 0.6280)
F (0.2741, 0.2763, 0.7453)
F (0.2785, 0.1004, 0.4165)
F (0.3359, 0.3701, 0.5374)
F (0.3537, 0.0563, 0.6263)
F (0.4186, 0.4773, 0.8005)
F (0.4258, 0.1776, 0.2905)
F (0.4387, 0.3599, 0.0715)